Entry 1:
Theoretical PXRD pattern of La3AgPd2 for copper Kα, from DFT lattice parameters and positions (PBE).

The 6 most intense peaks (10° ≤ 2θ ≤ 90°), in order of falling intensity:
2θ 33.3, I = 100
2θ 39.6, I = 23
2θ 31.2, I = 22
2θ 44.2, I = 13
2θ 67.8, I = 12
2θ 51.2, I = 11

abc: 8.843 8.843 4.555
angles: 90.00 90.00 153.21
Positions (direct):
1 La 0.000 0.000 0.000
2 La 0.167 0.833 0.500
3 La 0.833 0.167 0.500
4 Ag 0.500 0.500 0.500
5 Pd 0.366 0.634 0.000
6 Pd 0.634 0.366 0.000

Entry 2:
Theoretical PXRD pattern of La2Ag2Pd for copper Kα, from DFT lattice parameters and positions (PBE).

The 6 most intense peaks (10° ≤ 2θ ≤ 90°), in order of falling intensity:
2θ 31.5, I = 100
2θ 36.0, I = 64
2θ 32.9, I = 51
2θ 35.7, I = 36
2θ 41.8, I = 28
2θ 60.4, I = 27

abc: 3.887 7.933 7.933
angles: 31.58 90.00 90.00
Positions (direct):
1 La 0.000 0.000 0.000
2 La 0.000 0.249 0.249
3 Ag 0.500 0.628 0.628
4 Ag 0.500 0.822 0.822
5 Pd 0.500 0.438 0.438

Entry 3:
Theoretical PXRD pattern of La3Ag3Pd for copper Kα, from DFT lattice parameters and positions (PBE).

The 6 most intense peaks (10° ≤ 2θ ≤ 90°), in order of falling intensity:
2θ 30.8, I = 100
2θ 36.4, I = 46
2θ 31.9, I = 46
2θ 37.5, I = 40
2θ 34.5, I = 32
2θ 40.1, I = 32

abc: 10.536 10.536 10.536
angles: 158.58 153.67 34.19
Positions (direct):
1 La 0.000 0.000 0.000
2 La 0.366 0.366 0.000
3 La 0.695 0.195 0.500
4 Ag 0.123 0.623 0.500
5 Ag 0.544 0.544 0.000
6 Ag 0.832 0.832 0.000
7 Pd 0.257 0.757 0.500